The following is a simulated X-ray diffraction stick pattern of Sn2Rh. It was derived from a GGA-PBE-relaxed structure, using λ = 1.5418 Å (Cu Kα).

Structure:
a b c (Å): 6.498 6.498 5.790
angles (deg): 90.00 90.00 90.00
Space group I4/mcm (No. 140)
Asymmetric unit:
Sn  0.162  0.338  0.000 [8 per cell]
Rh  0.000  0.000  0.250 [4 per cell]

Peak list (12 most intense, 5 to 70 degrees two-theta, low angle first)
two_theta	intensity	hkl
30.9	9	0 0 2
34.5	100	2 1 1
36.7	37	1 1 2
39.2	12	2 2 0
41.8	40	2 0 2
44.1	40	3 1 0
57.3	24	2 1 3
60.9	16	4 1 1
64.1	7	4 2 0
64.4	7	0 0 4
65.9	14	4 0 2
69.4	24	3 3 2